Calculated X-ray diffraction stick pattern of ZnNiO2 for CuKα, from the GGA+U geometry in the Materials Project.
Lines closer than 0.1° are merged.

Top 5 peaks for 10° ≤ 2θ ≤ 90°, by angle:
2θ = 36.4°, I = 78.3
2θ = 42.3°, I = 100.0
2θ = 61.3°, I = 58.7
2θ = 73.5°, I = 30.6
2θ = 77.3°, I = 18.3

Cell and atoms:
abc: 5.2335 5.2335 5.2335
angles: 33.57 33.57 33.57
Element x y z (fractional)
Zn: 0.0000 0.0000 0.0000
Ni: 0.5000 0.5000 0.5000
O: 0.2482 0.2482 0.2482
O: 0.7518 0.7518 0.7518

***

Calculated X-ray diffraction stick pattern of ZnNiO2 for CuKα, from the GGA+U geometry in the Materials Project.
Lines closer than 0.1° are merged.

Top 10 peaks for 10° ≤ 2θ ≤ 90°, by angle:
2θ = 14.4°, I = 32.3
2θ = 21.4°, I = 23.9
2θ = 21.9°, I = 27.3
2θ = 29.0°, I = 39.9
2θ = 33.1°, I = 40.6
2θ = 33.6°, I = 25.6
2θ = 35.3°, I = 100.0
2θ = 35.4°, I = 48.4
2θ = 37.2°, I = 24.3
2θ = 52.2°, I = 52.3

Cell and atoms:
abc: 2.8876 8.2983 8.4940
angles: 82.16 80.32 80.16
Element x y z (fractional)
Zn: 0.0785 0.1277 0.2135
Zn: 0.3431 0.2318 0.5714
Zn: 0.6569 0.7682 0.4286
Zn: 0.9215 0.8723 0.7865
Ni: 0.2108 0.1918 0.8829
Ni: 0.3705 0.4468 0.3084
Ni: 0.6295 0.5532 0.6916
Ni: 0.7892 0.8082 0.1171
O: 0.0863 0.7176 0.6167
O: 0.1681 0.8905 0.2834
O: 0.1812 0.4057 0.7325
O: 0.3680 0.8166 0.9482
O: 0.6320 0.1834 0.0518
O: 0.8188 0.5943 0.2675
O: 0.8319 0.1095 0.7166
O: 0.9137 0.2824 0.3833